1.
NaAsO6: calculated powder X-ray diffraction pattern (Cu Kα X-rays), based on a structure optimized by DFT (GGA-PBE).

Principal peaks in the range 15 to 90 degrees two-theta, by angle:
d/Å, two_theta, I_rel
3.710, 23.98, 40.1
3.462, 25.73, 62.0
3.430, 25.98, 64.5
3.320, 26.86, 100.0
3.020, 29.58, 49.6
2.765, 32.38, 54.6

Structural model:
```
data_NaAsO6
_cell_length_a 6.3594
_cell_length_b 4.6685
_cell_length_c 10.7368
_cell_angle_alpha 90.00
_cell_angle_beta 105.97
_cell_angle_gamma 90.00
_symmetry_space_group_name_H-M 'P 1 21 1'
_symmetry_Int_Tables_number 4
loop_
_symmetry_equiv_pos_as_xyz
'x,y,z'
'-x,y+1/2,-z'
loop_
_atom_site_label
_atom_site_type_symbol
_atom_site_fract_x
_atom_site_fract_y
_atom_site_fract_z
_atom_site_occupancy
Na1 Na 0.0293 0.0000 0.4052 1
As1 As 0.3822 0.5269 0.3995 1
O1 O 0.1241 0.4917 0.4229 1
O2 O 0.1481 0.0374 0.1136 1
O3 O 0.2491 0.8162 0.1035 1
O4 O 0.2788 0.6352 0.8079 1
O5 O 0.3711 0.8707 0.8287 1
O6 O 0.4272 0.9142 0.4411 1
```

---

2.
NaSi2AsS6: calculated powder X-ray diffraction pattern (Cu Kα X-rays), based on a structure optimized by DFT (GGA-PBE).

Principal peaks in the range 15 to 90 degrees two-theta, by angle:
d/Å, two_theta, I_rel
5.731, 15.46, 86.1
4.203, 21.14, 66.6
3.806, 23.37, 62.4
3.231, 27.60, 90.9
2.730, 32.81, 100.0
1.780, 51.34, 61.1

Structural model:
```
data_NaSi2AsS6
_cell_length_a 12.6922
_cell_length_b 11.0744
_cell_length_c 6.8533
_cell_angle_alpha 90.00
_cell_angle_beta 109.61
_cell_angle_gamma 90.00
_symmetry_space_group_name_H-M 'C 1 2/c 1'
_symmetry_Int_Tables_number 15
loop_
_symmetry_equiv_pos_as_xyz
'x,y,z'
'-x,-y,-z'
'-x,y,-z+1/2'
'x,-y,z+1/2'
'x+1/2,y+1/2,z'
'-x+1/2,-y+1/2,-z'
'-x+1/2,y+1/2,-z+1/2'
'x+1/2,-y+1/2,z+1/2'
loop_
_atom_site_label
_atom_site_type_symbol
_atom_site_fract_x
_atom_site_fract_y
_atom_site_fract_z
_atom_site_occupancy
Na1 Na 0.0000 0.1242 0.2500 1
Si1 Si 0.2131 0.4100 0.1951 1
As1 As 0.0000 0.2428 0.7500 1
S1 S 0.1057 0.0906 0.6615 1
S2 S 0.1475 0.4567 0.4486 1
S3 S 0.1491 0.2361 0.1185 1
```

---

3.
TlGeBr2Cl: calculated powder X-ray diffraction pattern (Cu Kα X-rays), based on a structure optimized by DFT (GGA-PBE).

Principal peaks in the range 15 to 90 degrees two-theta, by angle:
d/Å, two_theta, I_rel
3.869, 22.99, 100.0
3.160, 28.24, 75.3
2.744, 32.63, 51.7
2.721, 32.91, 34.2
2.237, 40.31, 62.3
1.932, 47.03, 35.3

Structural model:
```
data_TlGeBr2Cl
_cell_length_a 7.7614
_cell_length_b 7.7614
_cell_length_c 10.8854
_cell_angle_alpha 90.00
_cell_angle_beta 90.00
_cell_angle_gamma 90.00
_symmetry_space_group_name_H-M 'I 4 c m'
_symmetry_Int_Tables_number 108
_symmetry_space_group_name_Hall 'I 4 -2c'
loop_
_atom_site_label
_atom_site_type_symbol
_atom_site_fract_x
_atom_site_fract_y
_atom_site_fract_z
_atom_site_occupancy
Tl1 Tl 0.0000 0.5000 0.0000 1
Ge1 Ge 0.0000 0.0000 0.2365 1
Br1 Br 0.1915 0.3085 0.2523 1
Cl1 Cl 0.0000 0.0000 0.0195 1
```

---

4.
LiPrAlZn2: calculated powder X-ray diffraction pattern (Cu Kα X-rays), based on a structure optimized by DFT (GGA-PBE).

Principal peaks in the range 15 to 90 degrees two-theta, by angle:
d/Å, two_theta, I_rel
3.090, 28.89, 84.2
2.729, 32.82, 100.0
2.662, 33.67, 61.3
2.185, 41.32, 50.1
1.890, 48.14, 44.2
1.706, 53.74, 48.3

Structural model:
```
data_LiPrAlZn2
_cell_length_a 4.3701
_cell_length_b 4.3701
_cell_length_c 10.4828
_cell_angle_alpha 90.00
_cell_angle_beta 90.00
_cell_angle_gamma 90.00
_symmetry_space_group_name_H-M 'I -4 m 2'
_symmetry_Int_Tables_number 119
_symmetry_space_group_name_Hall 'I -4 -2'
loop_
_atom_site_label
_atom_site_type_symbol
_atom_site_fract_x
_atom_site_fract_y
_atom_site_fract_z
_atom_site_occupancy
Li1 Li 0.0000 0.0000 0.0000 1
Pr1 Pr 0.0000 0.5000 0.2500 1
Al1 Al 0.0000 0.0000 0.5000 1
Zn1 Zn 0.0000 0.5000 0.6319 1
```

---

5.
Tl2Sn3Se6: calculated powder X-ray diffraction pattern (Cu Kα X-rays), based on a structure optimized by DFT (GGA-PBE).

Principal peaks in the range 15 to 90 degrees two-theta, by angle:
d/Å, two_theta, I_rel
3.011, 29.67, 48.8
2.992, 29.86, 100.0
2.257, 39.95, 39.3
2.221, 40.61, 18.9
2.010, 45.12, 32.9
1.680, 54.64, 18.0

Structural model:
```
data_Tl2Sn3Se6
_cell_length_a 6.9459
_cell_length_b 12.1436
_cell_length_c 8.1948
_cell_angle_alpha 90.00
_cell_angle_beta 107.40
_cell_angle_gamma 90.00
_symmetry_space_group_name_H-M 'C 1 2/m 1'
_symmetry_Int_Tables_number 12
loop_
_symmetry_equiv_pos_as_xyz
'x,y,z'
'-x,-y,-z'
'-x,y,-z'
'x,-y,z'
'x+1/2,y+1/2,z'
'-x+1/2,-y+1/2,-z'
'-x+1/2,y+1/2,-z'
'x+1/2,-y+1/2,z'
loop_
_atom_site_label
_atom_site_type_symbol
_atom_site_fract_x
_atom_site_fract_y
_atom_site_fract_z
_atom_site_occupancy
Tl1 Tl 0.0000 0.1682 0.0000 1
Sn1 Sn 0.0000 0.0000 0.5000 1
Sn2 Sn 0.0000 0.3308 0.5000 1
Se1 Se 0.2370 0.1601 0.7073 1
Se2 Se 0.2462 0.5000 0.7067 1
```

---

6.
MgCu14Ni: calculated powder X-ray diffraction pattern (Cu Kα X-rays), based on a structure optimized by DFT (GGA-PBE).

Principal peaks in the range 15 to 90 degrees two-theta, by angle:
d/Å, two_theta, I_rel
2.164, 41.73, 39.5
2.101, 43.06, 34.8
1.977, 45.91, 100.0
1.749, 52.30, 19.8
1.187, 80.96, 16.2
1.102, 88.82, 14.9

Structural model:
```
data_MgCu14Ni
_cell_length_a 8.4028
_cell_length_b 5.1679
_cell_length_c 8.9676
_cell_angle_alpha 90.00
_cell_angle_beta 90.00
_cell_angle_gamma 90.00
_symmetry_space_group_name_H-M 'A m m 2'
_symmetry_Int_Tables_number 38
loop_
_symmetry_equiv_pos_as_xyz
'x,y,z'
'-x,-y,z'
'-x,y,z'
'x,-y,z'
'x,y+1/2,z+1/2'
'-x,-y+1/2,z+1/2'
'-x,y+1/2,z+1/2'
'x,-y+1/2,z+1/2'
loop_
_atom_site_label
_atom_site_type_symbol
_atom_site_fract_x
_atom_site_fract_y
_atom_site_fract_z
_atom_site_occupancy
Mg1 Mg 0.0000 0.0000 0.0000 1
Cu1 Cu 0.0000 0.2476 0.2509 1
Cu2 Cu 0.2457 0.0000 0.6655 1
Cu3 Cu 0.2542 0.2463 0.4158 1
Cu4 Cu 0.2549 0.0000 0.1683 1
Cu5 Cu 0.5000 0.0000 0.3325 1
Cu6 Cu 0.5000 0.0000 0.8317 1
Cu7 Cu 0.5000 0.2488 0.5832 1
Ni1 Ni 0.0000 0.0000 0.4986 1
```

---

7.
Nd4NpN4: calculated powder X-ray diffraction pattern (Cu Kα X-rays), based on a structure optimized by DFT (GGA-PBE).

Principal peaks in the range 15 to 90 degrees two-theta, by angle:
d/Å, two_theta, I_rel
3.332, 26.76, 52.3
3.192, 27.95, 73.0
2.893, 30.91, 100.0
2.144, 42.16, 54.5
2.045, 44.28, 46.0
2.038, 44.46, 68.7

Structural model:
```
data_Nd4NpN4
_cell_length_a 5.7852
_cell_length_b 5.7852
_cell_length_c 11.4837
_cell_angle_alpha 90.00
_cell_angle_beta 90.00
_cell_angle_gamma 90.00
_symmetry_space_group_name_H-M 'I -4 2 m'
_symmetry_Int_Tables_number 121
_symmetry_space_group_name_Hall 'I -4 2'
loop_
_atom_site_label
_atom_site_type_symbol
_atom_site_fract_x
_atom_site_fract_y
_atom_site_fract_z
_atom_site_occupancy
Nd1 Nd 0.0000 0.0000 0.2128 1
Nd2 Nd 0.0000 0.5000 0.0000 1
Np1 Np 0.0000 0.0000 0.5000 1
N1 N 0.2035 0.2035 0.6282 1
```

---

8.
La3Pr4ErTe8: calculated powder X-ray diffraction pattern (Cu Kα X-rays), based on a structure optimized by DFT (GGA-PBE).

Principal peaks in the range 15 to 90 degrees two-theta, by angle:
d/Å, two_theta, I_rel
3.201, 27.87, 100.0
2.264, 39.82, 76.4
1.848, 49.30, 27.4
1.601, 57.58, 12.8
1.432, 65.15, 29.2
1.307, 72.28, 21.4

Structural model:
```
data_La3Pr4ErTe8
_cell_length_a 15.6753
_cell_length_b 9.0628
_cell_length_c 9.0459
_cell_angle_alpha 90.00
_cell_angle_beta 125.22
_cell_angle_gamma 90.00
_symmetry_space_group_name_H-M 'C 1 2/m 1'
_symmetry_Int_Tables_number 12
loop_
_symmetry_equiv_pos_as_xyz
'x,y,z'
'-x,-y,-z'
'-x,y,-z'
'x,-y,z'
'x+1/2,y+1/2,z'
'-x+1/2,-y+1/2,-z'
'-x+1/2,y+1/2,-z'
'x+1/2,-y+1/2,z'
loop_
_atom_site_label
_atom_site_type_symbol
_atom_site_fract_x
_atom_site_fract_y
_atom_site_fract_z
_atom_site_occupancy
La1 La 0.0000 0.0000 0.0000 1
La2 La 0.2500 0.2500 0.0000 1
Pr1 Pr 0.0000 0.0000 0.5000 1
Pr2 Pr 0.0000 0.5000 0.5000 1
Pr3 Pr 0.2500 0.2500 0.5000 1
Er1 Er 0.0000 0.5000 0.0000 1
Te1 Te 0.0007 0.2573 0.2448 1
Te2 Te 0.2434 0.5000 0.2447 1
Te3 Te 0.2493 0.5000 0.7479 1
```

---

9.
CdHgTe2: calculated powder X-ray diffraction pattern (Cu Kα X-rays), based on a structure optimized by DFT (GGA-PBE).

Principal peaks in the range 15 to 90 degrees two-theta, by angle:
d/Å, two_theta, I_rel
3.828, 23.24, 100.0
2.344, 38.40, 80.6
1.999, 45.37, 50.9
1.521, 60.91, 21.0
1.353, 69.45, 27.9
1.121, 86.93, 16.1

Structural model:
```
data_CdHgTe2
_cell_length_a 6.6308
_cell_length_b 6.6307
_cell_length_c 6.6282
_cell_angle_alpha 90.00
_cell_angle_beta 90.01
_cell_angle_gamma 90.00
_symmetry_space_group_name_H-M 'C 1 2 1'
_symmetry_Int_Tables_number 5
loop_
_symmetry_equiv_pos_as_xyz
'x,y,z'
'-x,y,-z'
'x+1/2,y+1/2,z'
'-x+1/2,y+1/2,-z'
loop_
_atom_site_label
_atom_site_type_symbol
_atom_site_fract_x
_atom_site_fract_y
_atom_site_fract_z
_atom_site_occupancy
Cd1 Cd 0.0000 0.0000 0.0000 1
Hg1 Hg 0.0000 0.5026 0.5000 1
Te1 Te 0.2490 0.2512 0.2484 1
```

---

10.
BaPm2F11: calculated powder X-ray diffraction pattern (Cu Kα X-rays), based on a structure optimized by DFT (GGA-PBE).

Principal peaks in the range 15 to 90 degrees two-theta, by angle:
d/Å, two_theta, I_rel
4.625, 19.19, 86.5
3.850, 23.10, 54.1
3.824, 23.26, 100.0
3.661, 24.31, 75.8
3.503, 25.42, 37.3
1.969, 46.09, 48.0

Structural model:
```
data_BaPm2F11
_cell_length_a 8.3386
_cell_length_b 9.1280
_cell_length_c 14.0137
_cell_angle_alpha 90.00
_cell_angle_beta 90.00
_cell_angle_gamma 90.00
_symmetry_space_group_name_H-M 'I b a m'
_symmetry_Int_Tables_number 72
_symmetry_space_group_name_Hall '-I 2 2c'
loop_
_atom_site_label
_atom_site_type_symbol
_atom_site_fract_x
_atom_site_fract_y
_atom_site_fract_z
_atom_site_occupancy
Ba1 Ba 0.0000 0.0000 0.2500 1
Pm1 Pm 0.1726 0.3109 0.0000 1
F1 F 0.0000 0.5000 0.0000 1
F2 F 0.0551 0.1780 0.5000 1
F3 F 0.2053 0.1423 0.1263 1
F4 F 0.2379 0.3910 0.1532 1
```

---

11.
Pm3ErTl2: calculated powder X-ray diffraction pattern (Cu Kα X-rays), based on a structure optimized by DFT (GGA-PBE).

Principal peaks in the range 15 to 90 degrees two-theta, by angle:
d/Å, two_theta, I_rel
2.854, 31.34, 100.0
2.841, 31.49, 15.9
2.749, 32.57, 51.8
2.633, 34.04, 18.0
2.600, 34.49, 36.4
1.546, 59.83, 23.5

Structural model:
```
data_Pm3ErTl2
_cell_length_a 5.2009
_cell_length_b 10.2435
_cell_length_c 6.8277
_cell_angle_alpha 90.00
_cell_angle_beta 90.00
_cell_angle_gamma 90.00
_symmetry_space_group_name_H-M 'P m c 21'
_symmetry_Int_Tables_number 26
loop_
_symmetry_equiv_pos_as_xyz
'x,y,z'
'-x,-y,z+1/2'
'-x,y,z'
'x,-y,z+1/2'
loop_
_atom_site_label
_atom_site_type_symbol
_atom_site_fract_x
_atom_site_fract_y
_atom_site_fract_z
_atom_site_occupancy
Pm1 Pm 0.0000 0.0380 0.0000 1
Pm2 Pm 0.0000 0.3216 0.3642 1
Pm3 Pm 0.5000 0.1891 0.7316 1
Er1 Er 0.5000 0.4611 0.0905 1
Tl1 Tl 0.0000 0.3644 0.8436 1
Tl2 Tl 0.5000 0.1382 0.2543 1
```

---

12.
UTi3Tl3Te8: calculated powder X-ray diffraction pattern (Cu Kα X-rays), based on a structure optimized by DFT (GGA-PBE).

Principal peaks in the range 15 to 90 degrees two-theta, by angle:
d/Å, two_theta, I_rel
3.657, 24.34, 13.9
3.068, 29.10, 100.0
2.330, 38.64, 37.0
2.038, 44.44, 33.1
1.698, 54.01, 17.1
1.305, 72.45, 13.6

Structural model:
```
data_UTi3Tl3Te8
_cell_length_a 8.1535
_cell_length_b 8.1535
_cell_length_c 24.8096
_cell_angle_alpha 90.00
_cell_angle_beta 90.00
_cell_angle_gamma 120.00
_symmetry_space_group_name_H-M 'R -3 m'
_symmetry_Int_Tables_number 166
_symmetry_space_group_name_Hall '-R 3 2"'
loop_
_atom_site_label
_atom_site_type_symbol
_atom_site_fract_x
_atom_site_fract_y
_atom_site_fract_z
_atom_site_occupancy
U1 U 0.0000 0.0000 0.0000 1
Ti1 Ti 0.0000 0.5000 0.0000 1
Tl1 Tl 0.0000 0.5000 0.5000 1
Te1 Te 0.0000 0.0000 0.2686 1
Te2 Te 0.0209 0.5105 0.2642 1
```